(1)
Calculated X-ray powder pattern
Compound: SmSbN2O
Radiation: Cu Kα X-rays
Structure: a crystal structure in OQMD, relaxed with GGA-PBE
Kinematic intensities with the Lorentz-polarization factor, no thermal factor.

The 8 most intense peaks (10 to 80 degrees two-theta), by intensity:
d/Å	I/Imax	hkl
2.855	100	1 2 1
2.789	24	0 0 2
2.867	22	2 0 0
1.623	21	1 2 3
1.999	19	2 0 2
2.039	13	0 4 0
1.653	12	3 2 1
1.646	11	0 4 2

Structure:
a = 5.734 Å, b = 8.156 Å, c = 5.578 Å
α = 90.00°, β = 90.00°, γ = 90.00°
Space group Pnma (No. 62)
Asymmetric unit:
Sm  0.055  0.250  0.022 (multiplicity 4)
Sb  0.000  0.000  0.500 (multiplicity 4)
N  0.204  0.555  0.798 (multiplicity 8)
O  0.030  0.750  0.394 (multiplicity 4)

(2)
Calculated X-ray powder pattern
Compound: PtSe2Br2
Radiation: Cu Kα X-rays
Structure: a crystal structure in OQMD, relaxed with GGA-PBE
Kinematic intensities with the Lorentz-polarization factor, no thermal factor.

The 8 most intense peaks (10 to 80 degrees two-theta), by intensity:
d/Å	I/Imax	hkl
6.414	100	0 1 0
3.510	54	1 0 -1
3.112	53	1 2 2
2.688	42	2 -1 1
2.358	33	1 3 2
3.711	25	-1 1 1
5.758	25	1 0 0
2.995	24	0 0 2

Structure:
a = 6.303 Å, b = 7.417 Å, c = 7.490 Å
α = 60.71°, β = 67.11°, γ = 85.05°
Space group P-1 (No. 2)
Asymmetric unit:
Pt  0.140  0.494  0.175 (multiplicity 2)
Se  0.005  0.246  0.107 (multiplicity 2)
Se  0.260  0.374  0.737 (multiplicity 2)
Br  0.305  0.751  0.232 (multiplicity 2)
Br  0.340  0.205  0.359 (multiplicity 2)

(3)
Calculated X-ray powder pattern
Compound: Tb4GaNi2Ge4
Radiation: Cu Kα X-rays
Structure: a crystal structure in OQMD, relaxed with GGA-PBE
Kinematic intensities with the Lorentz-polarization factor, no thermal factor.

The 8 most intense peaks (10 to 80 degrees two-theta), by intensity:
d/Å	I/Imax	hkl
2.475	100	1 1 2
2.584	98	3 1 -2
2.680	74	3 1 1
2.126	53	0 2 0
2.410	35	5 1 0
2.560	26	6 0 -1
2.212	24	0 0 3
2.342	21	6 0 -2

Structure:
a = 15.389 Å, b = 4.252 Å, c = 6.981 Å
α = 90.00°, β = 108.10°, γ = 90.00°
Space group C2/m (No. 12)
Asymmetric unit:
Tb  0.090  0.000  0.385 (multiplicity 4)
Tb  0.153  0.000  0.941 (multiplicity 4)
Ga  0.000  0.500  0.000 (multiplicity 2)
Ni  0.216  0.500  0.646 (multiplicity 4)
Ge  0.064  0.500  0.666 (multiplicity 4)
Ge  0.205  0.500  0.275 (multiplicity 4)

(4)
Calculated X-ray powder pattern
Compound: Li4MgTlHg2
Radiation: Cu Kα X-rays
Structure: a crystal structure in OQMD, relaxed with GGA-PBE
Kinematic intensities with the Lorentz-polarization factor, no thermal factor.

The 8 most intense peaks (10 to 80 degrees two-theta), by intensity:
d/Å	I/Imax	hkl
2.372	100	2 2 0
3.400	57	0 2 0
3.318	53	2 0 0
3.305	53	0 0 2
2.342	48	2 0 2
1.929	48	2 2 2
4.745	41	1 1 0
1.512	22	2 4 0

Structure:
a = 6.637 Å, b = 6.801 Å, c = 6.609 Å
α = 90.00°, β = 90.00°, γ = 90.00°
Space group Imm2 (No. 44)
Asymmetric unit:
Li  0.250  0.250  0.000 (multiplicity 8)
Mg  0.000  0.000  0.250 (multiplicity 2)
Tl  0.000  0.500  0.250 (multiplicity 2)
Hg  0.000  0.000  0.750 (multiplicity 2)
Hg  0.000  0.500  0.750 (multiplicity 2)

(5)
Calculated X-ray powder pattern
Compound: SrNdSi4
Radiation: Cu Kα X-rays
Structure: a crystal structure in OQMD, relaxed with GGA-PBE
Kinematic intensities with the Lorentz-polarization factor, no thermal factor.

The 8 most intense peaks (10 to 80 degrees two-theta), by intensity:
d/Å	I/Imax	hkl
2.821	100	1 1 2
3.150	49	1 0 3
2.308	40	1 0 5
2.194	35	2 0 0
4.175	32	1 0 1
1.590	25	2 1 5
1.359	21	3 1 2
1.800	19	2 1 3

Structure:
a = 4.387 Å, b = 4.387 Å, c = 13.573 Å
α = 90.00°, β = 90.00°, γ = 90.00°
Space group I-4m2 (No. 119)
Asymmetric unit:
Sr  0.000  0.000  0.000 (multiplicity 2)
Nd  0.000  0.500  0.250 (multiplicity 2)
Si  0.000  0.000  0.412 (multiplicity 4)
Si  0.000  0.500  0.666 (multiplicity 4)

(6)
Calculated X-ray powder pattern
Compound: Rb3Tm2Cu4Br13
Radiation: Cu Kα X-rays
Structure: a crystal structure in OQMD, relaxed with GGA-PBE
Kinematic intensities with the Lorentz-polarization factor, no thermal factor.

The 8 most intense peaks (10 to 80 degrees two-theta), by intensity:
d/Å	I/Imax	hkl
1.963	100	4 4 0
3.205	76	2 2 2
2.776	75	4 0 0
3.348	53	3 1 1
6.411	26	1 1 1
3.926	26	2 2 0
5.552	23	2 0 0
2.137	23	5 1 1

Structure:
a = 11.104 Å, b = 11.104 Å, c = 11.104 Å
α = 90.00°, β = 90.00°, γ = 90.00°
Space group Pn-3 (No. 201, origin choice 2)
Asymmetric unit:
Rb  0.250  0.250  0.750 (multiplicity 6)
Tm  0.000  0.000  0.000 (multiplicity 4)
Cu  0.122  0.122  0.378 (multiplicity 8)
Br  0.016  0.248  0.976 (multiplicity 24)
Br  0.250  0.250  0.250 (multiplicity 2)